Co2SiO4: calculated powder diffraction line list (Cu Kα (λ = 1.5418 Å)), based on a DFT-relaxed cell (PBE+U, the Materials Project).
Neutral-atom scattering factors, no anomalous dispersion.

Structure:
Lattice parameters (Å, degrees): 8.2108 8.2108 8.2108 90.00 90.00 90.00
Space group Fd-3m (No. 227, origin choice 2)
Symmetry-distinct sites (fractional):
Co (0.0000, 0.0000, 0.0000) [16 per cell]
Si (0.1250, 0.1250, 0.6250) [8 per cell]
O (0.0078, 0.0078, 0.7422) [32 per cell]

Main lines, by angle (2θ = 10–90°):
d [Å], intensity
4.741, 33
2.903, 10
2.476, 100
2.370, 15
2.053, 49
1.884, 15
1.580, 27
1.451, 50
1.252, 10
1.238, 8



LiV2P3O12: calculated powder diffraction line list (Cu Kα (λ = 1.5418 Å)), based on a DFT-relaxed cell (PBE+U, the Materials Project).
Neutral-atom scattering factors, no anomalous dispersion.

Structure:
Lattice parameters (Å, degrees): 14.6545 8.5877 8.5372 90.00 124.79 90.00
Space group C2/c (No. 15)
Symmetry-distinct sites (fractional):
Li (0.2500, 0.2500, 0.0000) [4 per cell]
V (0.1129, 0.2496, 0.1475) [8 per cell]
P (0.0000, 0.0405, 0.7500) [4 per cell]
P (0.1448, 0.3977, 0.5358) [8 per cell]
O (0.0307, 0.3451, 0.4833) [8 per cell]
O (0.0680, 0.0598, 0.2019) [8 per cell]
O (0.0855, 0.1451, 0.9185) [8 per cell]
O (0.1586, 0.4231, 0.0540) [8 per cell]
O (0.1640, 0.3513, 0.3822) [8 per cell]
O (0.2324, 0.3218, 0.7309) [8 per cell]

Main lines, by angle (2θ = 10–90°):
d [Å], intensity
6.046, 28
4.291, 38
4.268, 18
4.246, 45
3.652, 100
3.635, 49
3.027, 30
2.784, 25
2.478, 28
1.622, 23



Li3Ti2CrO6: calculated powder diffraction line list (Cu Kα (λ = 1.5418 Å)), based on a DFT-relaxed cell (PBE+U, the Materials Project).
Neutral-atom scattering factors, no anomalous dispersion.

Structure:
Lattice parameters (Å, degrees): 6.6750 6.7136 10.6405 108.17 93.32 97.43
Space group P1 (No. 1)
Symmetry-distinct sites (fractional):
Li (0.0000, 0.0000, 0.0000) [1 per cell]
Li (0.0706, 0.0987, 0.7495) [1 per cell]
Li (0.1603, 0.1721, 0.4992) [1 per cell]
Li (0.2498, 0.2480, 0.2501) [1 per cell]
Li (0.3221, 0.3482, 0.0014) [1 per cell]
Li (0.4095, 0.4225, 0.7486) [1 per cell]
Li (0.4991, 0.4985, 0.4987) [1 per cell]
Li (0.5715, 0.6004, 0.2517) [1 per cell]
Li (0.6608, 0.6757, 0.0014) [1 per cell]
Li (0.7496, 0.7502, 0.7489) [1 per cell]
Li (0.8214, 0.8499, 0.5006) [1 per cell]
Li (0.9104, 0.9257, 0.2512) [1 per cell]
Ti (0.1237, 0.6351, 0.6190) [1 per cell]
Ti (0.1882, 0.7027, 0.3768) [1 per cell]
Ti (0.3735, 0.8848, 0.8702) [1 per cell]
Ti (0.4427, 0.9559, 0.6259) [1 per cell]
Ti (0.6291, 0.1436, 0.1240) [1 per cell]
Ti (0.6985, 0.2143, 0.8793) [1 per cell]
Ti (0.8832, 0.3955, 0.3747) [1 per cell]
Ti (0.9452, 0.4620, 0.1308) [1 per cell]
Cr (0.0363, 0.5503, 0.8758) [1 per cell]
Cr (0.2860, 0.7993, 0.1250) [1 per cell]
Cr (0.5363, 0.0501, 0.3757) [1 per cell]
Cr (0.7836, 0.2969, 0.6246) [1 per cell]
O (0.0036, 0.2919, 0.9394) [1 per cell]
O (0.0683, 0.8078, 0.8114) [1 per cell]
O (0.0843, 0.3756, 0.6901) [1 per cell]
O (0.1410, 0.9025, 0.5622) [1 per cell]
O (0.1872, 0.4415, 0.4408) [1 per cell]
O (0.2350, 0.9702, 0.3104) [1 per cell]
O (0.2536, 0.5429, 0.1890) [1 per cell]
O (0.3203, 0.0557, 0.0594) [1 per cell]
O (0.3373, 0.6263, 0.9384) [1 per cell]
O (0.3954, 0.1498, 0.8107) [1 per cell]
O (0.4300, 0.6956, 0.6896) [1 per cell]
O (0.4833, 0.2203, 0.5612) [1 per cell]
O (0.5029, 0.7927, 0.4405) [1 per cell]
O (0.5688, 0.3062, 0.3097) [1 per cell]
O (0.5857, 0.8794, 0.1895) [1 per cell]
O (0.6395, 0.4035, 0.0603) [1 per cell]
O (0.6766, 0.9490, 0.9388) [1 per cell]
O (0.7357, 0.4732, 0.8111) [1 per cell]
O (0.7514, 0.0404, 0.6898) [1 per cell]
O (0.8155, 0.5547, 0.5613) [1 per cell]
O (0.8382, 0.1269, 0.4396) [1 per cell]
O (0.8841, 0.6546, 0.3093) [1 per cell]
O (0.9301, 0.1969, 0.1888) [1 per cell]
O (0.9845, 0.7227, 0.0616) [1 per cell]

Main lines, by angle (2θ = 10–90°):
d [Å], intensity
4.953, 100
2.522, 13
2.511, 26
2.113, 29
2.098, 58
1.628, 9
1.506, 8
1.502, 8
1.497, 8
1.472, 15



Fe10O9F11: calculated powder diffraction line list (Cu Kα (λ = 1.5418 Å)), based on a DFT-relaxed cell (PBE+U, the Materials Project).
Neutral-atom scattering factors, no anomalous dispersion.

Structure:
Lattice parameters (Å, degrees): 4.7637 15.4949 4.7702 90.00 91.46 90.00
Space group Pm (No. 6)
Symmetry-distinct sites (fractional):
Fe (0.0000, 0.0000, 0.0000) [1 per cell]
Fe (0.0370, 0.2060, 0.0576) [2 per cell]
Fe (0.4954, 0.0934, 0.5050) [2 per cell]
Fe (0.5391, 0.2980, 0.4942) [2 per cell]
Fe (0.5488, 0.5000, 0.5159) [1 per cell]
Fe (0.9617, 0.4012, 0.0118) [2 per cell]
O (0.3014, 0.0000, 0.3136) [1 per cell]
O (0.3319, 0.2007, 0.3345) [2 per cell]
O (0.6954, 0.0000, 0.6989) [1 per cell]
O (0.6961, 0.3979, 0.6989) [2 per cell]
O (0.8079, 0.5000, 0.2028) [1 per cell]
O (0.8236, 0.3009, 0.2073) [2 per cell]
F (0.1980, 0.5000, 0.8127) [1 per cell]
F (0.2094, 0.1115, 0.8203) [2 per cell]
F (0.2113, 0.3023, 0.8208) [2 per cell]
F (0.3106, 0.4009, 0.3084) [2 per cell]
F (0.7243, 0.2003, 0.7220) [2 per cell]
F (0.8147, 0.1088, 0.2165) [2 per cell]

Main lines, by angle (2θ = 10–90°):
d [Å], intensity
3.413, 96
3.328, 93
2.598, 100
2.294, 18
2.268, 17
1.768, 58
1.744, 51
1.707, 17
1.549, 17
1.414, 38



Li3VPCO7: calculated powder diffraction line list (Cu Kα (λ = 1.5418 Å)), based on a DFT-relaxed cell (PBE+U, the Materials Project).
Neutral-atom scattering factors, no anomalous dispersion.

Structure:
Lattice parameters (Å, degrees): 5.2043 6.7029 8.3493 90.00 92.40 90.00
Space group P2_1 (No. 4)
Symmetry-distinct sites (fractional):
Li (0.0486, 0.0000, 0.0050) [2 per cell]
Li (0.4138, 0.2806, 0.8378) [2 per cell]
Li (0.4283, 0.1596, 0.4995) [2 per cell]
V (0.0663, 0.7640, 0.7336) [2 per cell]
P (0.0398, 0.7621, 0.3243) [2 per cell]
C (0.4715, 0.2713, 0.1474) [2 per cell]
O (0.0694, 0.0807, 0.7751) [2 per cell]
O (0.0744, 0.4456, 0.7721) [2 per cell]
O (0.0785, 0.2531, 0.5086) [2 per cell]
O (0.2362, 0.2597, 0.0918) [2 per cell]
O (0.3368, 0.7693, 0.3361) [2 per cell]
O (0.3420, 0.7842, 0.9530) [2 per cell]
O (0.4717, 0.7674, 0.7007) [2 per cell]

Main lines, by angle (2θ = 10–90°):
d [Å], intensity
5.205, 85
4.498, 15
4.171, 46
3.541, 24
3.351, 100
3.322, 20
2.651, 13
2.600, 18
2.512, 13
2.268, 19



Li5Mn8B8O24: calculated powder diffraction line list (Cu Kα (λ = 1.5418 Å)), based on a DFT-relaxed cell (PBE+U, the Materials Project).
Neutral-atom scattering factors, no anomalous dispersion.

Structure:
Lattice parameters (Å, degrees): 5.3352 9.0286 10.3983 90.46 92.28 90.30
Space group P1 (No. 1)
Symmetry-distinct sites (fractional):
Li (0.0000, 0.0000, 0.0000) [1 per cell]
Li (0.0035, 0.0433, 0.5000) [1 per cell]
Li (0.2089, 0.5179, 0.7503) [1 per cell]
Li (0.2318, 0.5262, 0.2529) [1 per cell]
Li (0.6954, 0.0295, 0.7466) [1 per cell]
Mn (0.0182, 0.3738, 0.4576) [1 per cell]
Mn (0.0261, 0.6661, 0.9622) [1 per cell]
Mn (0.2023, 0.1772, 0.2165) [1 per cell]
Mn (0.2021, 0.8619, 0.7235) [1 per cell]
Mn (0.5026, 0.2211, 0.9613) [1 per cell]
Mn (0.5127, 0.8392, 0.4675) [1 per cell]
Mn (0.6901, 0.3655, 0.7002) [1 per cell]
Mn (0.7140, 0.7185, 0.2064) [1 per cell]
B (0.0370, 0.3348, 0.9512) [1 per cell]
B (0.0432, 0.7126, 0.4520) [1 per cell]
B (0.1821, 0.2035, 0.7091) [1 per cell]
B (0.1878, 0.8358, 0.2030) [1 per cell]
B (0.5175, 0.1830, 0.4641) [1 per cell]
B (0.5270, 0.8716, 0.9645) [1 per cell]
B (0.6928, 0.6939, 0.7171) [1 per cell]
B (0.7034, 0.3730, 0.2024) [1 per cell]
O (0.0474, 0.0740, 0.6975) [1 per cell]
O (0.0650, 0.9643, 0.1852) [1 per cell]
O (0.0719, 0.6979, 0.1702) [1 per cell]
O (0.0830, 0.3374, 0.6660) [1 per cell]
O (0.1442, 0.2019, 0.9978) [1 per cell]
O (0.1487, 0.8408, 0.5095) [1 per cell]
O (0.1699, 0.5841, 0.4428) [1 per cell]
O (0.1800, 0.4580, 0.9396) [1 per cell]
O (0.2641, 0.1904, 0.4224) [1 per cell]
O (0.2728, 0.8516, 0.9310) [1 per cell]
O (0.4264, 0.8288, 0.2602) [1 per cell]
O (0.4289, 0.2040, 0.7638) [1 per cell]
O (0.5451, 0.5713, 0.7154) [1 per cell]
O (0.5711, 0.2481, 0.1487) [1 per cell]
O (0.5816, 0.5039, 0.2118) [1 per cell]
O (0.5909, 0.8303, 0.6773) [1 per cell]
O (0.6402, 0.0501, 0.4710) [1 per cell]
O (0.6498, 0.3101, 0.5013) [1 per cell]
O (0.6505, 0.0007, 0.9381) [1 per cell]
O (0.6645, 0.7544, 0.0212) [1 per cell]
O (0.7883, 0.3326, 0.9079) [1 per cell]
O (0.8002, 0.7287, 0.3983) [1 per cell]
O (0.9474, 0.6879, 0.7566) [1 per cell]
O (0.9532, 0.3558, 0.2472) [1 per cell]

Main lines, by angle (2θ = 10–90°):
d [Å], intensity
4.590, 33
4.514, 81
4.158, 70
4.131, 63
3.500, 63
2.665, 26
2.627, 32
2.614, 38
2.597, 100
2.261, 28



Ba4CaNd3Co8O22: calculated powder diffraction line list (Cu Kα (λ = 1.5418 Å)), based on a DFT-relaxed cell (PBE+U, the Materials Project).
Neutral-atom scattering factors, no anomalous dispersion.

Structure:
Lattice parameters (Å, degrees): 7.9454 15.3899 15.8414 90.00 90.00 90.00
Space group Fmm2 (No. 42)
Symmetry-distinct sites (fractional):
Ba (0.0000, 0.2484, 0.0000) [8 per cell]
Ba (0.0000, 0.2498, 0.2517) [8 per cell]
Ca (0.0000, 0.0000, 0.0074) [4 per cell]
Nd (0.0000, 0.0000, 0.2395) [4 per cell]
Nd (0.0000, 0.0000, 0.5091) [4 per cell]
Nd (0.0000, 0.0000, 0.7418) [4 per cell]
Co (0.2487, 0.1220, 0.8765) [16 per cell]
Co (0.2490, 0.1235, 0.1244) [16 per cell]
O (0.0000, 0.0953, 0.3754) [8 per cell]
O (0.0000, 0.0973, 0.8742) [8 per cell]
O (0.0000, 0.1153, 0.1278) [8 per cell]
O (0.0000, 0.1154, 0.6255) [8 per cell]
O (0.2448, 0.0000, 0.6277) [8 per cell]
O (0.2474, 0.1044, 0.4897) [16 per cell]
O (0.2498, 0.1029, 0.2623) [16 per cell]
O (0.2500, 0.2500, 0.1252) [8 per cell]
O (0.2500, 0.2500, 0.3753) [8 per cell]

Main lines, by angle (2θ = 10–90°):
d [Å], intensity
3.967, 9
2.805, 47
2.762, 100
2.266, 19
1.986, 16
1.980, 15
1.924, 13
1.611, 37
1.586, 20
1.402, 9



MgFe6O9F3: calculated powder diffraction line list (Cu Kα (λ = 1.5418 Å)), based on a DFT-relaxed cell (PBE+U, the Materials Project).
Neutral-atom scattering factors, no anomalous dispersion.

Structure:
Lattice parameters (Å, degrees): 5.7293 5.9820 7.1094 72.07 73.86 83.05
Space group P1 (No. 1)
Symmetry-distinct sites (fractional):
Mg (0.0000, 0.0000, 0.0000) [1 per cell]
Fe (0.0084, 0.5104, 0.5090) [1 per cell]
Fe (0.0566, 0.4590, 0.0162) [1 per cell]
Fe (0.3778, 0.8228, 0.1855) [1 per cell]
Fe (0.4049, 0.7968, 0.6661) [1 per cell]
Fe (0.6021, 0.2394, 0.8297) [1 per cell]
Fe (0.6031, 0.2505, 0.3430) [1 per cell]
O (0.1335, 0.6047, 0.7093) [1 per cell]
O (0.2545, 0.7419, 0.9642) [1 per cell]
O (0.2833, 0.1772, 0.0147) [1 per cell]
O (0.3511, 0.4975, 0.3425) [1 per cell]
O (0.4509, 0.9487, 0.3789) [1 per cell]
O (0.5502, 0.0850, 0.6410) [1 per cell]
O (0.6641, 0.5512, 0.6618) [1 per cell]
O (0.7654, 0.2713, 0.0460) [1 per cell]
O (0.8982, 0.4131, 0.3051) [1 per cell]
F (0.0056, 0.8488, 0.3097) [1 per cell]
F (0.7119, 0.8436, 0.0037) [1 per cell]
F (0.9895, 0.1716, 0.7028) [1 per cell]

Main lines, by angle (2θ = 10–90°):
d [Å], intensity
3.879, 100
3.232, 94
2.567, 31
2.539, 65
2.515, 23
2.485, 27
1.895, 19
1.682, 24
1.616, 19
1.477, 28